[1]
Calculated XRD peak list
Compound: Mn2Mo3O8
Radiation: Cu Ka
Structure: a GGA+U-relaxed structure

The 8 most intense peaks (2θ from 10° to 90°), by intensity:
2θ 24.37, I = 100.0
2θ 16.99, I = 94.5
2θ 36.17, I = 86.9
2θ 34.92, I = 73.0
2θ 56.94, I = 60.2
2θ 43.95, I = 51.9
2θ 54.30, I = 38.1
2θ 31.09, I = 37.1

Cell and atoms:
a = 5.904 Å, b = 5.904 Å, c = 10.440 Å
α = 90.00°, β = 90.00°, γ = 120.00°
Fractional coordinates of all 26 atoms:
1 Mn 0.333 0.667 0.000
2 Mn 0.333 0.667 0.436
3 Mn 0.667 0.333 0.500
4 Mn 0.667 0.333 0.936
5 Mo 0.146 0.292 0.735
6 Mo 0.146 0.854 0.735
7 Mo 0.292 0.146 0.235
8 Mo 0.708 0.854 0.735
9 Mo 0.854 0.146 0.235
10 Mo 0.854 0.708 0.235
11 O 0.000 0.000 0.374
12 O 0.000 0.000 0.874
13 O 0.026 0.513 0.844
14 O 0.165 0.329 0.121
15 O 0.165 0.835 0.121
16 O 0.329 0.165 0.621
17 O 0.333 0.667 0.633
18 O 0.487 0.513 0.844
19 O 0.487 0.974 0.844
20 O 0.513 0.026 0.344
21 O 0.513 0.487 0.344
22 O 0.667 0.333 0.133
23 O 0.671 0.835 0.121
24 O 0.835 0.165 0.621
25 O 0.835 0.671 0.621
26 O 0.974 0.487 0.344

---

[2]
Calculated XRD peak list
Compound: Rb4MnMo3O12
Radiation: Cu Ka
Structure: a GGA+U-relaxed structure

The 8 most intense peaks (2θ from 10° to 90°), by intensity:
2θ 28.69, I = 100.0
2θ 24.71, I = 56.3
2θ 27.61, I = 49.0
2θ 38.22, I = 25.9
2θ 50.83, I = 22.4
2θ 22.07, I = 18.5
2θ 50.17, I = 17.2
2θ 59.41, I = 15.6

Cell and atoms:
a = 6.223 Å, b = 6.223 Å, c = 24.224 Å
α = 90.00°, β = 90.00°, γ = 120.00°
Fractional coordinates of all 40 atoms:
1 Rb 0.333 0.667 0.000
2 Rb 0.333 0.667 0.180
3 Rb 0.333 0.667 0.625
4 Rb 0.333 0.667 0.812
5 Rb 0.667 0.333 0.125
6 Rb 0.667 0.333 0.312
7 Rb 0.667 0.333 0.500
8 Rb 0.667 0.333 0.680
9 Mn 0.000 0.000 0.405
10 Mn 0.000 0.000 0.905
11 Mo 0.000 0.000 0.065
12 Mo 0.000 0.000 0.245
13 Mo 0.000 0.000 0.565
14 Mo 0.000 0.000 0.745
15 Mo 0.333 0.667 0.427
16 Mo 0.667 0.333 0.927
17 O 0.000 0.000 0.320
18 O 0.000 0.000 0.489
19 O 0.000 0.000 0.820
20 O 0.000 0.000 0.989
21 O 0.064 0.381 0.403
22 O 0.126 0.313 0.721
23 O 0.128 0.311 0.090
24 O 0.183 0.872 0.090
25 O 0.186 0.874 0.721
26 O 0.311 0.128 0.590
27 O 0.313 0.126 0.221
28 O 0.317 0.936 0.403
29 O 0.333 0.667 0.500
30 O 0.381 0.064 0.903
31 O 0.619 0.683 0.403
32 O 0.667 0.333 0.000
33 O 0.683 0.619 0.903
34 O 0.687 0.814 0.721
35 O 0.689 0.817 0.090
36 O 0.814 0.687 0.221
37 O 0.817 0.689 0.590
38 O 0.872 0.183 0.590
39 O 0.874 0.186 0.221
40 O 0.936 0.317 0.903

---

[3]
Calculated XRD peak list
Compound: Sr2MnMoO6
Radiation: Cu Ka
Structure: a GGA+U-relaxed structure

The 8 most intense peaks (2θ from 10° to 90°), by intensity:
2θ 31.18, I = 100.0
2θ 55.50, I = 31.1
2θ 44.59, I = 25.0
2θ 31.04, I = 19.6
2θ 55.31, I = 13.8
2θ 44.76, I = 13.1
2θ 65.08, I = 10.1
2θ 18.93, I = 8.2

Cell and atoms:
a = 5.733 Å, b = 5.763 Å, c = 9.912 Å
α = 90.00°, β = 125.21°, γ = 90.00°
Fractional coordinates of all 20 atoms:
1 Sr 0.245 0.031 0.250
2 Sr 0.245 0.469 0.750
3 Sr 0.755 0.531 0.250
4 Sr 0.755 0.969 0.750
5 Mn 0.500 0.000 0.000
6 Mn 0.500 0.500 0.500
7 Mo 0.000 0.000 0.500
8 Mo 0.000 0.500 0.000
9 O 0.164 0.230 0.963
10 O 0.164 0.270 0.463
11 O 0.234 0.704 0.965
12 O 0.234 0.796 0.465
13 O 0.304 0.015 0.736
14 O 0.304 0.485 0.236
15 O 0.696 0.515 0.764
16 O 0.696 0.985 0.264
17 O 0.766 0.204 0.535
18 O 0.766 0.296 0.035
19 O 0.836 0.730 0.537
20 O 0.836 0.770 0.037

---

[4]
Calculated XRD peak list
Compound: Sr2MnMoO6
Radiation: Cu Ka
Structure: a GGA+U-relaxed structure

The 8 most intense peaks (2θ from 10° to 90°), by intensity:
2θ 31.10, I = 100.0
2θ 31.43, I = 56.7
2θ 55.74, I = 43.8
2θ 45.04, I = 32.7
2θ 55.12, I = 22.2
2θ 64.84, I = 20.2
2θ 44.06, I = 19.8
2θ 89.99, I = 12.1

Cell and atoms:
a = 5.753 Å, b = 5.753 Å, c = 5.753 Å
α = 120.69°, β = 120.69°, γ = 88.81°
Fractional coordinates of all 10 atoms:
1 Sr 0.250 0.750 0.500
2 Sr 0.750 0.250 0.500
3 Mn 0.000 0.000 0.000
4 Mo 0.500 0.500 0.000
5 O 0.209 0.681 0.891
6 O 0.262 0.262 0.000
7 O 0.319 0.209 0.528
8 O 0.681 0.791 0.472
9 O 0.738 0.738 0.000
10 O 0.791 0.319 0.109

---

[5]
Calculated XRD peak list
Compound: Sr2MnMoO6
Radiation: Cu Ka
Structure: a GGA+U-relaxed structure

The 8 most intense peaks (2θ from 10° to 90°), by intensity:
2θ 31.12, I = 100.0
2θ 31.25, I = 54.0
2θ 55.53, I = 43.2
2θ 44.78, I = 33.3
2θ 55.29, I = 21.0
2θ 64.89, I = 19.1
2θ 44.39, I = 17.9
2θ 74.03, I = 17.6

Cell and atoms:
a = 8.096 Å, b = 8.096 Å, c = 8.162 Å
α = 90.00°, β = 90.00°, γ = 90.00°
Fractional coordinates of all 40 atoms:
1 Sr 0.250 0.250 0.250
2 Sr 0.250 0.250 0.750
3 Sr 0.250 0.750 0.237
4 Sr 0.250 0.750 0.737
5 Sr 0.750 0.250 0.263
6 Sr 0.750 0.250 0.763
7 Sr 0.750 0.750 0.250
8 Sr 0.750 0.750 0.750
9 Mn 0.000 0.000 0.000
10 Mn 0.000 0.500 0.500
11 Mn 0.500 0.000 0.500
12 Mn 0.500 0.500 0.000
13 Mo 0.000 0.000 0.500
14 Mo 0.000 0.500 0.000
15 Mo 0.500 0.000 0.000
16 Mo 0.500 0.500 0.500
17 O 0.020 0.022 0.263
18 O 0.022 0.480 0.237
19 O 0.043 0.264 0.978
20 O 0.046 0.764 0.482
21 O 0.236 0.043 0.522
22 O 0.236 0.546 0.982
23 O 0.264 0.457 0.522
24 O 0.264 0.954 0.982
25 O 0.454 0.736 0.482
26 O 0.457 0.236 0.978
27 O 0.478 0.020 0.237
28 O 0.480 0.478 0.263
29 O 0.520 0.522 0.737
30 O 0.522 0.980 0.763
31 O 0.543 0.764 0.022
32 O 0.546 0.264 0.518
33 O 0.736 0.046 0.018
34 O 0.736 0.543 0.478
35 O 0.764 0.454 0.018
36 O 0.764 0.957 0.478
37 O 0.954 0.236 0.518
38 O 0.957 0.736 0.022
39 O 0.978 0.520 0.763
40 O 0.980 0.978 0.737

---

[6]
Calculated XRD peak list
Compound: Sr2MnMoO6
Radiation: Cu Ka
Structure: a GGA+U-relaxed structure

The 8 most intense peaks (2θ from 10° to 90°), by intensity:
2θ 31.37, I = 100.0
2θ 31.69, I = 27.3
2θ 31.98, I = 26.4
2θ 44.25, I = 19.7
2θ 45.55, I = 16.4
2θ 45.74, I = 16.3
2θ 56.68, I = 10.7
2θ 56.18, I = 10.6

Cell and atoms:
a = 5.597 Å, b = 5.699 Å, c = 9.809 Å
α = 74.60°, β = 73.64°, γ = 60.70°
Fractional coordinates of all 20 atoms:
1 Sr 0.000 0.000 0.000
2 Sr 0.238 0.243 0.261
3 Sr 0.484 0.494 0.524
4 Sr 0.742 0.757 0.762
5 Mn 0.116 0.124 0.638
6 Mn 0.616 0.624 0.137
7 Mo 0.369 0.378 0.887
8 Mo 0.860 0.870 0.389
9 O 0.029 0.524 0.032
10 O 0.038 0.978 0.491
11 O 0.185 0.730 0.248
12 O 0.198 0.279 0.776
13 O 0.247 0.756 0.760
14 O 0.477 0.012 0.009
15 O 0.504 0.021 0.535
16 O 0.570 0.464 0.978
17 O 0.658 0.771 0.304
18 O 0.736 0.224 0.273
19 O 0.742 0.225 0.736
20 O 0.986 0.510 0.512

---

[7]
Calculated XRD peak list
Compound: Sr2MnMoO6
Radiation: Cu Ka
Structure: a GGA+U-relaxed structure

The 8 most intense peaks (2θ from 10° to 90°), by intensity:
2θ 31.21, I = 100.0
2θ 31.82, I = 53.5
2θ 56.30, I = 36.4
2θ 45.61, I = 32.5
2θ 55.15, I = 21.4
2θ 43.81, I = 20.0
2θ 65.07, I = 15.2
2θ 83.07, I = 9.2

Cell and atoms:
a = 5.625 Å, b = 5.626 Å, c = 8.265 Å
α = 90.04°, β = 90.05°, γ = 90.10°
Fractional coordinates of all 20 atoms:
1 Sr 0.000 0.000 0.245
2 Sr 0.000 0.000 0.755
3 Sr 0.499 0.500 0.755
4 Sr 0.501 0.500 0.245
5 Mn 0.000 0.500 0.000
6 Mn 0.500 0.000 0.500
7 Mo 0.000 0.500 0.500
8 Mo 0.500 0.000 0.000
9 O 0.003 0.502 0.736
10 O 0.182 0.206 0.500
11 O 0.208 0.783 0.001
12 O 0.283 0.291 0.000
13 O 0.295 0.682 0.499
14 O 0.497 0.997 0.766
15 O 0.503 0.003 0.234
16 O 0.705 0.318 0.501
17 O 0.717 0.709 0.000
18 O 0.792 0.217 0.999
19 O 0.818 0.794 0.500
20 O 0.997 0.498 0.264

---

> Number 3 is which compound?

Sr2MnMoO6